The following is a theoretical powder XRD pattern of MnFeAs2O8. It was derived from DFT lattice parameters and positions (GGA+U), using copper Kα.

Structural model:
```
MnFeAs2O8
1.0
-3.2830 3.2830 3.1506
3.2830 -3.2830 3.1506
3.2830 3.2830 -3.1506
Mn Fe As O
1 1 2 8
direct
0.0000 0.0000 0.0000 Mn
0.2500 0.7500 0.5000 Fe
0.5000 0.5000 0.0000 As
0.7500 0.2500 0.5000 As
0.3173 0.1229 0.8056 O
0.3173 0.5117 0.1944 O
0.3704 0.0600 0.3103 O
0.4883 0.6827 0.8056 O
0.7497 0.0600 0.6897 O
0.8771 0.6827 0.1944 O
0.9400 0.2503 0.3103 O
0.9400 0.6296 0.6897 O
```

Main lines, in order of rising 2θ (10° ≤ 2θ ≤ 80°):
2θ/deg  d [Å]  I/Imax
27.2  3.283  100
33.7  2.662  13
34.4  2.607  72
38.8  2.321  14
52.8  1.734  61
56.0  1.641  16
63.3  1.468  11
65.7  1.420  13
67.4  1.389  18
72.5  1.304  10